# Nd7VSe8O4
Calculated powder diffraction line list, a wavelength of 1.5418 Å. Input: the PBE+U geometry in Alexandria.

Cell and atoms:
Unit cell a=14.477 b=15.882 c=4.050 alpha=90.00 beta=90.00 gamma=90.00
Element x y z (fractional)
Nd (0.000, 0.000, 0.000)
Nd (0.007, 0.312, 0.500)
Nd (0.210, 0.381, 0.000)
Nd (0.219, 0.164, 0.500)
Nd (0.281, 0.664, 0.500)
Nd (0.290, 0.881, 0.000)
Nd (0.493, 0.812, 0.500)
Nd (0.500, 0.500, 0.000)
Nd (0.507, 0.188, 0.500)
Nd (0.710, 0.119, 0.000)
Nd (0.719, 0.336, 0.500)
Nd (0.781, 0.836, 0.500)
Nd (0.790, 0.619, 0.000)
Nd (0.993, 0.688, 0.500)
V (0.000, 0.500, 0.000)
V (0.500, 0.000, 0.000)
Se (0.069, 0.173, 0.000)
Se (0.119, 0.532, 0.500)
Se (0.146, 0.973, 0.500)
Se (0.156, 0.735, 0.000)
Se (0.344, 0.235, 0.000)
Se (0.354, 0.473, 0.500)
Se (0.381, 0.032, 0.500)
Se (0.431, 0.673, 0.000)
Se (0.569, 0.327, 0.000)
Se (0.619, 0.968, 0.500)
Se (0.646, 0.527, 0.500)
Se (0.656, 0.765, 0.000)
Se (0.844, 0.265, 0.000)
Se (0.854, 0.027, 0.500)
Se (0.881, 0.468, 0.500)
Se (0.931, 0.827, 0.000)
O (0.046, 0.382, 0.000)
O (0.173, 0.312, 0.500)
O (0.327, 0.812, 0.500)
O (0.454, 0.882, 0.000)
O (0.546, 0.118, 0.000)
O (0.673, 0.188, 0.500)
O (0.827, 0.688, 0.500)
O (0.954, 0.618, 0.000)

Top 12 peaks for 2θ = 15–90°, in order of rising 2θ:
| d [Å] | two_theta | I_rel | (hkl) |
| --- | --- | --- | --- |
| 3.501 | 25.44 | 52 | 1 2 1 |
| 3.481 | 25.59 | 29 | 2 4 0 |
| 3.045 | 29.33 | 46 | 3 1 1 |
| 2.940 | 30.41 | 34 | 2 3 1 |
| 2.909 | 30.74 | 41 | 2 5 0 |
| 2.890 | 30.95 | 48 | 3 2 1 |
| 2.676 | 33.48 | 39 | 3 3 1 |
| 2.646 | 33.88 | 26 | 0 6 0 |
| 2.555 | 35.12 | 100 | 4 2 1 |
| 2.463 | 36.48 | 27 | 1 5 1 |
| 2.386 | 37.70 | 31 | 6 1 0 |
| 2.025 | 44.75 | 48 | 0 0 2 |